(1)
Starting from a structure optimized by DFT (PBE+U), the PXRD pattern of Ba10MgMn6O24F2 was computed for Cu Kα.

Largest 12 diffraction maxima, in order of rising 2θ, 2θ from 10° to 90°:
- 19.40°, I = 36
- 24.04°, I = 47
- 27.03°, I = 76
- 27.57°, I = 56
- 27.71°, I = 43
- 28.03°, I = 67
- 28.19°, I = 100
- 28.33°, I = 47
- 28.62°, I = 43
- 29.21°, I = 48
- 29.35°, I = 55
- 29.70°, I = 41

Crystal structure
```
43
Lattice="8.184 0.000 0.000 -0.344 10.443 0.000 -0.047 -5.096 9.173" Properties=species:S:1:pos:R:3 pbc="T T T"
Ba 0.000 0.000 0.000
Ba -0.196 4.916 4.660
Ba 1.832 1.154 3.868
Ba 1.891 6.509 0.888
Ba 3.869 -2.554 9.132
Ba 3.890 3.719 7.040
Ba 4.383 7.540 4.612
Ba 5.771 1.323 3.963
Ba 6.032 6.422 0.910
Ba 7.395 -1.396 7.181
Mg 1.683 -2.425 5.567
Mn -0.210 2.466 7.230
Mn -0.090 8.141 3.288
Mn 3.842 4.222 3.591
Mn 3.919 -0.071 6.691
Mn 4.081 -0.594 1.441
Mn 7.944 3.304 1.305
O -0.202 2.214 5.529
O -0.157 1.007 8.156
O -0.195 8.314 1.512
O 0.118 4.802 2.060
O 0.466 -1.108 4.705
O 0.907 2.936 0.096
O 1.107 3.459 7.709
O 1.363 7.170 3.784
O 2.679 0.237 0.874
O 2.543 4.329 4.710
O 3.112 -1.789 6.615
O 3.592 1.472 5.811
O 3.732 2.745 2.714
O 3.979 -0.688 3.165
O 3.941 0.192 8.437
O 3.928 5.592 2.568
O 3.901 8.299 0.688
O 5.434 0.378 1.055
O 5.262 4.117 4.580
O 5.435 -0.506 5.868
O 6.440 3.559 0.498
O 6.554 3.336 7.693
O 6.664 7.101 3.539
O 7.903 1.981 2.405
F 0.307 6.745 6.601
F 5.622 -3.618 7.066
```


(2)
Starting from a structure optimized by DFT (PBE+U), the PXRD pattern of Ba10MgMn6O24F2 was computed for Cu Kα.

Largest 12 diffraction maxima, in order of rising 2θ, 2θ from 10° to 90°:
- 22.83°, I = 26
- 25.48°, I = 20
- 27.09°, I = 22
- 27.58°, I = 59
- 27.92°, I = 68
- 28.21°, I = 82
- 28.54°, I = 100
- 29.47°, I = 39
- 39.62°, I = 25
- 40.58°, I = 29
- 41.50°, I = 24
- 46.63°, I = 24

Crystal structure
```
43
Lattice="10.498 0.000 0.000 0.000 7.792 0.000 -4.876 0.000 9.704" Properties=species:S:1:pos:R:3 pbc="T T T"
Ba 0.000 0.000 0.000
Ba -2.730 3.896 5.703
Ba 1.078 3.896 2.966
Ba -0.072 0.000 6.259
Ba -1.188 1.935 9.647
Ba -1.188 5.857 9.647
Ba 4.094 1.936 6.030
Ba 4.094 5.856 6.030
Ba 7.715 3.896 0.332
Ba 6.605 0.000 3.031
Mg -0.211 0.000 3.138
Mn -4.145 3.896 9.095
Mn 0.549 3.896 6.918
Mn 2.475 0.000 3.317
Mn 5.087 3.896 2.618
Mn 2.342 0.000 8.584
Mn 7.035 0.000 6.519
O 0.713 2.554 0.461
O 0.713 5.238 0.461
O -2.598 3.896 8.342
O -2.428 0.000 8.035
O -0.432 2.563 6.459
O -0.432 5.229 6.459
O 1.226 1.277 3.749
O 1.226 6.515 3.749
O 2.821 0.000 1.557
O 3.473 3.896 1.959
O 0.642 3.896 8.646
O 0.647 0.000 8.930
O 2.075 3.896 6.134
O 2.395 0.000 6.842
O 4.112 0.000 4.087
O 5.872 2.531 1.929
O 5.872 5.261 1.929
O 5.099 3.896 4.337
O 3.186 1.388 9.090
O 3.186 6.404 9.090
O 5.395 0.000 7.250
O 5.123 3.896 7.891
O 7.041 1.353 5.332
O 7.041 6.438 5.332
F 9.089 1.375 2.571
F 9.089 6.416 2.571
```